(1)
Sr2Cd: computed XRD peak list (CuKα), based on a structure optimized by DFT (PBE).

Cell and atoms:
abc: 15.690 15.690 4.036
angles: 97.35 97.35 14.78
Element x y z (fractional)
Sr1 0.060 0.060 0.310
Sr2 0.190 0.190 0.440
Sr3 0.810 0.810 0.560
Sr4 0.940 0.940 0.690
Cd1 0.375 0.375 0.125
Cd2 0.625 0.625 0.875

The 10 most intense peaks (10° ≤ 2θ ≤ 90°), sorted by position:
d/Å, I (rel.)
7.715, 55
3.378, 55
2.977, 84
2.806, 100
2.613, 53
2.018, 29
1.744, 29
1.670, 30
1.597, 23
1.394, 17

=====

(2)
LiLa2Nb8O24: computed XRD peak list (CuKα), based on a structure optimized by DFT (PBE).

Cell and atoms:
abc: 8.918 8.918 7.878
angles: 90.00 90.00 127.29
Element x y z (fractional)
Li1 0.000 0.000 0.000
La1 0.000 0.000 0.500
La2 0.500 0.500 0.000
Nb1 0.121 0.381 0.249
Nb2 0.121 0.381 0.751
Nb3 0.381 0.121 0.249
Nb4 0.381 0.121 0.751
Nb5 0.619 0.879 0.249
Nb6 0.619 0.879 0.751
Nb7 0.879 0.619 0.249
Nb8 0.879 0.619 0.751
O1 0.000 0.500 0.217
O2 0.000 0.500 0.783
O3 0.118 0.882 0.274
O4 0.118 0.882 0.726
O5 0.130 0.394 0.500
O6 0.132 0.327 0.000
O7 0.243 0.243 0.281
O8 0.243 0.243 0.719
O9 0.327 0.132 0.000
O10 0.384 0.616 0.216
O11 0.384 0.616 0.784
O12 0.394 0.130 0.500
O13 0.500 0.000 0.217
O14 0.500 0.000 0.783
O15 0.606 0.870 0.500
O16 0.616 0.384 0.216
O17 0.616 0.384 0.784
O18 0.673 0.868 0.000
O19 0.757 0.757 0.281
O20 0.757 0.757 0.719
O21 0.868 0.673 0.000
O22 0.870 0.606 0.500
O23 0.882 0.118 0.274
O24 0.882 0.118 0.726

The 10 most intense peaks (10° ≤ 2θ ≤ 90°), sorted by position:
d/Å, I (rel.)
7.991, 27
5.272, 45
3.996, 29
3.959, 30
3.939, 28
2.809, 100
2.792, 50
1.970, 21
1.625, 22
1.613, 22

=====

(3)
Ca2ScSi3Pt4: computed XRD peak list (CuKα), based on a structure optimized by DFT (PBE).

Cell and atoms:
abc: 4.169 4.169 10.710
angles: 90.00 90.00 90.00
Element x y z (fractional)
Ca1 0.000 0.500 0.238
Ca2 0.500 0.000 0.762
Sc1 0.000 0.000 0.500
Si1 0.000 0.500 0.874
Si2 0.500 0.000 0.126
Si3 0.500 0.500 0.500
Pt1 0.000 0.000 0.000
Pt2 0.000 0.500 0.652
Pt3 0.500 0.000 0.348
Pt4 0.500 0.500 0.000

The 10 most intense peaks (10° ≤ 2θ ≤ 90°), sorted by position:
d/Å, I (rel.)
3.885, 46
3.570, 49
3.290, 42
2.842, 67
2.582, 100
2.084, 58
1.982, 56
1.905, 23
1.800, 30
1.183, 23